Starting from a structure optimized by DFT (GGA-PBE), the XRD peak list of NaCuO2 was calculated for copper Kα.

The 12 most intense peaks (5 to 70 degrees two-theta), by intensity:
2θ/deg	I_rel	h k l
19.7	100	0 2 1
25.1	69	0 0 2
52.8	33	1 5 1
35.4	27	1 1 1
41.8	27	1 3 1
41.2	24	0 2 3
47.6	21	1 3 2
30.8	17	0 4 0
40.1	14	0 4 2
66.9	14	2 0 0
39.8	14	1 3 0
65.4	14	1 7 0

Cell and atoms:
Cell lengths 2.795, 11.618, 7.105 Å; angles 90.00, 90.00, 90.00 degrees
Space group Cmc2_1 (No. 36)
Symmetry-distinct sites (fractional):
Na: 0.000 0.108 0.000 x4
Cu: 0.000 0.355 0.901 x4
O: 0.000 0.053 0.316 x4
O: 0.000 0.237 0.483 x4


Starting from a structure optimized by DFT (GGA-PBE), the XRD peak list of NaCu2O3 was calculated for copper Kα.

The 12 most intense peaks (5 to 70 degrees two-theta), by intensity:
2θ/deg	I_rel	h k l
44.0	100	1 3 1
34.5	91	2 0 -2
36.2	65	1 3 -1
33.7	53	2 0 0
58.1	41	1 3 -3
17.4	31	0 0 1
35.3	31	0 0 2
56.0	31	3 3 -1
29.1	30	2 0 -1
62.9	19	3 3 -3
61.8	19	2 0 2
20.0	16	1 1 -1

Cell and atoms:
Cell lengths 6.146, 8.467, 5.881 Å; angles 90.00, 120.05, 90.00 degrees
Space group C2/m (No. 12)
Symmetry-distinct sites (fractional):
Na: 0.000 0.165 0.000 x4
Cu: 0.000 0.000 0.500 x2
Cu: 0.000 0.332 0.500 x4
Cu: 0.000 0.500 0.000 x2
O: 0.134 0.500 0.756 x4
O: 0.178 0.159 0.732 x8


Starting from a structure optimized by DFT (GGA-PBE), the XRD peak list of NaCu2O3 was calculated for copper Kα.

The 12 most intense peaks (5 to 70 degrees two-theta), by intensity:
2θ/deg	I_rel	h k l
25.8	100	0 0 1
36.2	62	1 1 1
33.3	46	1 3 0
30.1	35	0 2 1
46.9	26	0 6 0
48.5	26	2 0 0
40.6	25	0 4 1
24.9	22	1 1 0
53.1	19	0 0 2
55.8	19	2 0 1
54.3	18	0 6 1
67.4	18	1 7 1

Cell and atoms:
Cell lengths 3.751, 11.614, 3.449 Å; angles 90.00, 90.00, 90.00 degrees
Space group Cmmm (No. 65)
Symmetry-distinct sites (fractional):
Na: 0.000 0.000 0.000 x2
Cu: 0.000 0.342 0.500 x4
O: 0.000 0.179 0.500 x4
O: 0.000 0.500 0.500 x2


Starting from a structure optimized by DFT (GGA-PBE), the XRD peak list of Na2CuO2 was calculated for copper Kα.

The 12 most intense peaks (5 to 70 degrees two-theta), by intensity:
2θ/deg	I_rel	h k l
17.4	100	0 1 1
36.1	71	1 1 -4
25.0	58	1 0 -3
12.4	30	1 0 -1
23.9	29	1 1 -2
38.6	28	3 1 2
45.4	26	3 2 1
15.4	26	0 0 2
38.3	23	2 0 4
33.0	22	1 2 0
31.3	19	3 0 -1
19.9	17	1 1 -1

Cell and atoms:
Cell lengths 8.766, 5.708, 11.491 Å; angles 90.00, 92.48, 90.00 degrees
Space group P2_1 (No. 4)
Symmetry-distinct sites (fractional):
Na: 0.009 0.000 0.075 x2
Na: 0.054 0.552 0.208 x2
Na: 0.146 0.433 0.475 x2
Na: 0.192 0.976 0.634 x2
Na: 0.315 0.850 0.872 x2
Na: 0.338 0.353 0.014 x2
Na: 0.436 0.256 0.289 x2
Na: 0.486 0.797 0.427 x2
Cu: 0.114 0.458 0.715 x2
Cu: 0.167 0.984 0.382 x2
Cu: 0.335 0.798 0.125 x2
Cu: 0.387 0.371 0.784 x2
O: 0.022 0.741 0.388 x2
O: 0.046 0.186 0.278 x2
O: 0.168 0.682 0.041 x2
O: 0.194 0.207 0.827 x2
O: 0.300 0.624 0.693 x2
O: 0.333 0.125 0.459 x2
O: 0.463 0.623 0.234 x2
O: 0.470 0.057 0.113 x2


Starting from a structure optimized by DFT (GGA-PBE), the XRD peak list of Na5CuO4 was calculated for copper Kα.

The 12 most intense peaks (5 to 70 degrees two-theta), by intensity:
2θ/deg	I_rel	h k l
48.7	100	2 2 2
32.2	87	2 1 1
39.8	79	0 3 1
20.3	79	0 1 1
17.1	61	1 1 0
29.8	43	2 0 1
34.6	36	2 2 0
33.2	32	0 0 2
50.7	31	4 0 0
20.6	30	1 0 1
66.3	28	4 3 1
43.6	21	2 1 2

Cell and atoms:
Cell lengths 7.205, 7.476, 5.397 Å; angles 90.00, 90.00, 90.00 degrees
Space group Pmmn (No. 59, origin choice 2)
Symmetry-distinct sites (fractional):
Na: 0.010 0.055 0.241 x8
Na: 0.250 0.750 0.324 x2
Cu: 0.250 0.250 0.712 x2
O: 0.021 0.250 0.901 x4
O: 0.250 0.023 0.531 x4


Starting from a structure optimized by DFT (GGA-PBE), the XRD peak list of NaCu3O2 was calculated for copper Kα.

The 12 most intense peaks (5 to 70 degrees two-theta), by intensity:
2θ/deg	I_rel	h k l
35.5	100	2 2 0
37.5	56	0 2 2
59.7	34	2 4 2
37.6	32	0 4 0
36.9	29	1 1 2
44.6	23	2 0 2
17.5	21	1 1 0
46.0	16	1 3 2
66.5	15	2 6 0
48.7	14	2 2 2
62.3	11	4 0 0
50.4	10	0 4 2

Cell and atoms:
Cell lengths 5.958, 9.562, 5.552 Å; angles 90.00, 90.00, 90.00 degrees
Space group Ibam (No. 72)
Symmetry-distinct sites (fractional):
Na: 0.000 0.000 0.250 x4
Cu: 0.000 0.500 0.000 x4
Cu: 0.250 0.250 0.250 x8
O: 0.245 0.119 0.000 x8


Starting from a structure optimized by DFT (GGA-PBE), the XRD peak list of Na3Cu2O4 was calculated for copper Kα.

The 12 most intense peaks (5 to 70 degrees two-theta), by intensity:
2θ/deg	I_rel	h k l
22.9	100	0 0 2
22.7	85	1 0 -2
16.7	54	1 0 0
45.5	46	2 4 -1
33.4	41	1 0 2
43.2	38	1 0 -4
33.0	32	2 0 -2
40.3	27	1 4 1
50.9	25	2 4 -3
34.2	23	0 4 1
55.9	22	1 4 3
52.1	19	2 4 1

Cell and atoms:
Cell lengths 5.724, 11.141, 8.373 Å; angles 90.00, 112.23, 90.00 degrees
Space group P2_1/c (No. 14)
Symmetry-distinct sites (fractional):
Na: 0.109 0.079 0.382 x4
Na: 0.111 0.706 0.881 x4
Na: 0.140 0.101 0.948 x4
Cu: 0.470 0.575 0.230 x4
Cu: 0.500 0.173 0.761 x4
O: 0.238 0.055 0.694 x4
O: 0.240 0.707 0.176 x4
O: 0.274 0.545 0.709 x4
O: 0.278 0.197 0.222 x4


Starting from a structure optimized by DFT (GGA-PBE), the XRD peak list of Na6CuO4 was calculated for copper Kα.

The 12 most intense peaks (5 to 70 degrees two-theta), by intensity:
2θ/deg	I_rel	h k l
48.3	100	4 0 0
20.4	67	1 0 1
39.7	67	3 0 1
31.4	60	2 1 1
33.7	38	2 2 0
33.5	26	0 0 2
29.0	25	2 0 1
43.2	25	2 1 2
58.6	24	2 1 3
69.5	18	5 2 1
64.2	18	4 3 1
37.7	12	1 1 2

Cell and atoms:
Cell lengths 7.532, 7.532, 5.346 Å; angles 90.00, 90.00, 90.00 degrees
Space group P4_2/nmc (No. 137, origin choice 2)
Symmetry-distinct sites (fractional):
Na: 0.039 0.539 0.250 x8
Na: 0.250 0.250 0.150 x4
Cu: 0.250 0.750 0.750 x2
O: 0.001 0.750 0.585 x8